Structure and computed powder diffractogram of TcSnH5 (a crystal structure in Alexandria, relaxed with GGA-PBE; a wavelength of 1.5418 Å).
Intensities are scaled so that the largest is 100.

Crystal structure
a = 4.4440 Å, b = 4.4440 Å, c = 4.4440 Å
α = 100.60°, β = 100.48°, γ = 129.36°
Sites, in units of the cell vectors:
Tc  0.0000  0.0000  0.0000
Sn  0.7495  0.2495  0.5000
H  0.1224  0.8451  0.2773
H  0.1550  0.4327  0.2777
H  0.1550  0.8772  0.7223
H  0.5017  0.5017  0.0000
H  0.5679  0.8451  0.7227

Main lines, low angle first (10° ≤ 2θ ≤ 90°):
- 28.25°, rel. 100
- 31.50°, rel. 79
- 42.81°, rel. 67
- 45.14°, rel. 28
- 53.32°, rel. 36
- 54.11°, rel. 17
- 63.96°, rel. 21
- 72.38°, rel. 29
- 73.05°, rel. 14
- 74.73°, rel. 13



Structure and computed powder diffractogram of Sn2Te2H5 (a crystal structure in Alexandria, relaxed with GGA-PBE; a wavelength of 1.5418 Å).
Intensities are scaled so that the largest is 100.

Crystal structure
a = 11.2500 Å, b = 11.2500 Å, c = 11.2500 Å
α = 145.41°, β = 41.32°, γ = 158.09°
Sites, in units of the cell vectors:
Sn  0.1519  0.0237  0.1282
Sn  0.3954  0.0237  0.3718
Sn  0.6046  0.9763  0.6282
Sn  0.8481  0.9763  0.8718
Te  0.0000  0.5000  0.5000
Te  0.2712  0.5212  0.7500
Te  0.5000  0.5000  0.0000
Te  0.7288  0.4788  0.2500
H  0.0000  0.0000  0.5000
H  0.0000  0.5000  0.0000
H  0.2236  0.0000  0.7236
H  0.2236  0.5000  0.2236
H  0.3686  0.0000  0.8686
H  0.3686  0.5000  0.3686
H  0.6314  0.0000  0.1314
H  0.6314  0.5000  0.6314
H  0.7764  0.0000  0.2764
H  0.7764  0.5000  0.7764

Main lines, low angle first (10° ≤ 2θ ≤ 90°):
- 26.65°, rel. 33
- 30.06°, rel. 100
- 34.07°, rel. 18
- 42.27°, rel. 9
- 43.77°, rel. 18
- 49.23°, rel. 26
- 50.68°, rel. 12
- 55.36°, rel. 8
- 58.52°, rel. 15
- 62.48°, rel. 12



Structure and computed powder diffractogram of Th4Sn2H (a crystal structure in Alexandria, relaxed with GGA-PBE; a wavelength of 1.5418 Å).
Intensities are scaled so that the largest is 100.

Crystal structure
a = 6.0586 Å, b = 6.6848 Å, c = 9.4718 Å
α = 90.00°, β = 101.54°, γ = 90.00°
Sites, in units of the cell vectors:
Th  0.1811  0.2500  0.0665
Th  0.2277  0.7500  0.3586
Th  0.2863  0.5079  0.7236
Th  0.2863  0.9921  0.7236
Th  0.7137  0.0079  0.2764
Th  0.7137  0.4921  0.2764
Th  0.7723  0.2500  0.6414
Th  0.8189  0.7500  0.9335
Sn  0.2408  0.2500  0.4140
Sn  0.3425  0.7500  0.0399
Sn  0.6575  0.2500  0.9601
Sn  0.7592  0.7500  0.5860
H  0.0969  0.2500  0.8153
H  0.9031  0.7500  0.1847

Main lines, low angle first (10° ≤ 2θ ≤ 90°):
- 28.86°, rel. 36
- 29.76°, rel. 87
- 30.11°, rel. 85
- 31.27°, rel. 100
- 32.69°, rel. 29
- 33.03°, rel. 83
- 33.13°, rel. 96
- 35.30°, rel. 54
- 47.69°, rel. 36
- 54.94°, rel. 26



Structure and computed powder diffractogram of Ti6SnH (a crystal structure in Alexandria, relaxed with GGA-PBE; a wavelength of 1.5418 Å).
Intensities are scaled so that the largest is 100.

Crystal structure
a = 5.1576 Å, b = 5.1576 Å, c = 5.1576 Å
α = 102.30°, β = 102.30°, γ = 102.30°
Sites, in units of the cell vectors:
Ti  0.2215  0.2215  0.6063
Ti  0.2215  0.6063  0.2215
Ti  0.3937  0.7785  0.7785
Ti  0.6063  0.2215  0.2215
Ti  0.7785  0.3937  0.7785
Ti  0.7785  0.7785  0.3937
Sn  0.0000  0.0000  0.0000
H  0.5000  0.5000  0.5000

Main lines, low angle first (10° ≤ 2θ ≤ 90°):
- 18.29°, rel. 21
- 22.13°, rel. 12
- 29.35°, rel. 17
- 36.66°, rel. 100
- 39.97°, rel. 25
- 43.59°, rel. 59
- 45.15°, rel. 20
- 61.85°, rel. 14
- 65.62°, rel. 16
- 68.89°, rel. 14



Structure and computed powder diffractogram of Ti8Sn4H (a crystal structure in Alexandria, relaxed with GGA-PBE; a wavelength of 1.5418 Å).
Intensities are scaled so that the largest is 100.

Crystal structure
a = 3.6337 Å, b = 4.4240 Å, c = 13.8429 Å
α = 90.00°, β = 90.00°, γ = 90.00°
Sites, in units of the cell vectors:
Ti  0.0000  0.0000  0.0000
Ti  0.0000  0.0000  0.3332
Ti  0.0000  0.5000  0.1857
Ti  0.0000  0.5000  0.5242
Ti  0.5000  0.0000  0.5035
Ti  0.5000  0.0000  0.8395
Ti  0.5000  0.5000  0.0231
Ti  0.5000  0.5000  0.6853
Sn  0.0000  0.0000  0.6668
Sn  0.0000  0.5000  0.8617
Sn  0.5000  0.0000  0.1614
Sn  0.5000  0.5000  0.3611
H  0.0000  0.0000  0.4695

Main lines, low angle first (10° ≤ 2θ ≤ 90°):
- 23.87°, rel. 17
- 25.34°, rel. 11
- 37.49°, rel. 100
- 39.04°, rel. 18
- 40.79°, rel. 21
- 50.21°, rel. 11
- 57.74°, rel. 11
- 66.61°, rel. 10
- 72.09°, rel. 14
- 85.80°, rel. 9



Structure and computed powder diffractogram of Ti3SnH3 (a crystal structure in Alexandria, relaxed with GGA-PBE; a wavelength of 1.5418 Å).
Intensities are scaled so that the largest is 100.

Crystal structure
a = 5.3717 Å, b = 5.3717 Å, c = 5.3717 Å
α = 90.00°, β = 90.00°, γ = 90.00°
Sites, in units of the cell vectors:
Ti  0.0000  0.2500  0.5000
Ti  0.0000  0.7500  0.5000
Ti  0.2500  0.5000  0.0000
Ti  0.5000  0.0000  0.2500
Ti  0.5000  0.0000  0.7500
Ti  0.7500  0.5000  0.0000
Sn  0.0000  0.0000  0.0000
Sn  0.5000  0.5000  0.5000
H  0.0000  0.5000  0.2500
H  0.0000  0.5000  0.7500
H  0.2500  0.0000  0.5000
H  0.5000  0.2500  0.0000
H  0.5000  0.7500  0.0000
H  0.7500  0.0000  0.5000

Main lines, low angle first (10° ≤ 2θ ≤ 90°):
- 23.42°, rel. 37
- 33.36°, rel. 45
- 37.44°, rel. 38
- 41.16°, rel. 100
- 53.98°, rel. 10
- 62.32°, rel. 7
- 64.96°, rel. 51
- 70.07°, rel. 12
- 79.86°, rel. 15
- 84.62°, rel. 13